# RbMg14Cu
Theoretical powder diffraction line list, Cu Kα, 1.54184 Å. Input: a crystal structure in the Materials Project, relaxed with GGA-PBE.

Principal peaks in the range 10 to 90 degrees two-theta, in order of rising 2θ:
| d [Å] | Position (°2θ) | I_rel |
| --- | --- | --- |
| 5.623 | 15.8 | 21 |
| 3.854 | 23.1 | 18 |
| 2.812 | 31.8 | 27 |
| 2.647 | 33.9 | 23 |
| 2.483 | 36.2 | 100 |
| 1.927 | 47.2 | 17 |
| 1.623 | 56.7 | 18 |
| 1.495 | 62.1 | 17 |
| 1.384 | 67.7 | 17 |
| 1.359 | 69.1 | 16 |

Cell and atoms:
Cell lengths 6.4931, 6.4931, 10.5865 Å; angles 90.00, 90.00, 120.00 degrees
Space group P-6m2 (No. 187)
Asymmetric unit:
Rb (0.0000, 0.0000, 0.0000)
Mg (0.0077, 0.5038, 0.0000)
Mg (0.1670, 0.3339, 0.2787)
Mg (0.5050, 0.0100, 0.5000)
Mg (0.6667, 0.3333, 0.2438)
Cu (0.0000, 0.0000, 0.5000)

***

# Na4CaTiSi2SO12
Theoretical powder diffraction line list, Cu Kα, 1.54184 Å. Input: a crystal structure in the Materials Project, relaxed with GGA-PBE.

Principal peaks in the range 10 to 90 degrees two-theta, in order of rising 2θ:
| d [Å] | Position (°2θ) | I_rel |
| --- | --- | --- |
| 4.567 | 19.4 | 52 |
| 4.038 | 22.0 | 39 |
| 3.991 | 22.3 | 55 |
| 3.049 | 29.3 | 40 |
| 2.981 | 30.0 | 100 |
| 2.930 | 30.5 | 74 |
| 2.862 | 31.3 | 73 |
| 2.717 | 33.0 | 96 |
| 2.691 | 33.3 | 49 |
| 2.020 | 44.9 | 39 |

Cell and atoms:
Cell lengths 15.660, 9.442, 9.429 Å; angles 90.00, 125.09, 90.00 degrees
Space group Cc (No. 9)
Asymmetric unit:
Na (0.000, 0.063, 0.000)
Na (0.063, 0.259, 0.375)
Na (0.127, 0.429, 0.770)
Na (0.340, 0.110, 0.658)
Ca (0.424, 0.249, 0.042)
Ti (0.231, 0.283, 0.258)
Si (0.328, 0.447, 0.634)
Si (0.479, 0.110, 0.439)
S (0.177, 0.091, 0.846)
O (0.076, 0.300, 0.116)
O (0.088, 0.152, 0.681)
O (0.175, 0.068, 0.334)
O (0.176, 0.129, 0.999)
O (0.236, 0.361, 0.448)
O (0.257, 0.441, 0.173)
O (0.271, 0.147, 0.865)
O (0.364, 0.191, 0.384)
O (0.396, 0.335, 0.788)
O (0.399, 0.462, 0.099)
O (0.486, 0.126, 0.277)
O (0.488, 0.057, 0.981)

***

# Mn2CrNiSb2
Theoretical powder diffraction line list, Cu Kα, 1.54184 Å. Input: a crystal structure in the Materials Project, relaxed with GGA-PBE.

Principal peaks in the range 10 to 90 degrees two-theta, in order of rising 2θ:
| d [Å] | Position (°2θ) | I_rel |
| --- | --- | --- |
| 3.490 | 25.5 | 100 |
| 2.140 | 42.2 | 73 |
| 2.134 | 42.3 | 73 |
| 1.826 | 49.9 | 11 |
| 1.822 | 50.1 | 35 |
| 1.511 | 61.3 | 23 |
| 1.385 | 67.6 | 9 |
| 1.237 | 77.1 | 11 |
| 1.233 | 77.4 | 34 |
| 1.163 | 83.1 | 11 |

Cell and atoms:
Cell lengths 4.2685, 4.2685, 21.0018 Å; angles 90.00, 90.00, 120.00 degrees
Space group R3m (No. 160, hexagonal axes)
Asymmetric unit:
Mn (0.0000, 0.0000, 0.0000)
Mn (0.0000, 0.0000, 0.4982)
Cr (0.0000, 0.0000, 0.7500)
Ni (0.0000, 0.0000, 0.2477)
Sb (0.0000, 0.0000, 0.3715)
Sb (0.0000, 0.0000, 0.8758)